Entry 1:
# PdPb
Simulated powder XRD pattern, Cu Kα (λ = 1.5418 Å). Input: the GGA-PBE geometry in the Materials Project.
Neutral-atom scattering factors, no anomalous dispersion.

The 12 most intense peaks (10 to 80 degrees two-theta), by intensity:
2θ 33.09, intensity 100
2θ 32.99, intensity 59
2θ 41.62, intensity 30
2θ 39.21, intensity 27
2θ 40.91, intensity 27
2θ 40.65, intensity 26
2θ 26.31, intensity 22
2θ 35.03, intensity 22
2θ 34.73, intensity 20
2θ 49.77, intensity 17
2θ 54.16, intensity 16
2θ 65.27, intensity 10

```
PdPb
1.0
5.6754 0.0000 0.0000
-0.9530 5.6049 0.0000
-2.2546 -2.6587 21.6655
Pd Pb
16 16
Direct
0.0226 0.2662 0.2077
0.0954 0.8574 0.5444
0.1433 0.3842 0.9578
0.2634 0.5012 0.7083
0.3176 0.5797 0.4581
0.3285 0.0660 0.2944
0.4341 0.6976 0.2061
0.4460 0.1841 0.0439
0.5540 0.8159 0.9561
0.5659 0.3024 0.7939
0.6715 0.9340 0.7056
0.6824 0.4203 0.5419
0.7366 0.4988 0.2917
0.8567 0.6158 0.0422
0.9046 0.1426 0.4556
0.9774 0.7338 0.7923
0.0578 0.8553 0.9297
0.0644 0.2658 0.8205
0.1783 0.9760 0.6801
0.1867 0.3913 0.5727
0.2621 0.5579 0.3229
0.3741 0.0785 0.4300
0.3825 0.6794 0.0725
0.4959 0.2002 0.1778
0.5041 0.7998 0.8222
0.6175 0.3206 0.9275
0.6259 0.9215 0.5700
0.7379 0.4421 0.6771
0.8133 0.6087 0.4273
0.8217 0.0240 0.3199
0.9356 0.7342 0.1795
0.9422 0.1447 0.0703
```

Entry 2:
# TbRh
Simulated powder XRD pattern, Cu Kα (λ = 1.5418 Å). Input: the GGA-PBE geometry in the Materials Project.
Neutral-atom scattering factors, no anomalous dispersion.

The 7 most intense peaks (10 to 80 degrees two-theta), by intensity:
2θ 36.88, intensity 100
2θ 66.45, intensity 35
2θ 53.15, intensity 17
2θ 78.50, intensity 11
2θ 25.85, intensity 5
2θ 60.02, intensity 2
2θ 45.59, intensity 1

```
TbRh
1.0
3.4464 0.0000 0.0000
0.0000 3.4464 0.0000
0.0000 0.0000 3.4464
Tb Rh
1 1
Direct
0.0000 0.0000 0.0000
0.5000 0.5000 0.5000
```

Entry 3:
# Zn2Bi3O8
Simulated powder XRD pattern, Cu Kα (λ = 1.5418 Å). Input: the GGA-PBE geometry in the Materials Project.
Neutral-atom scattering factors, no anomalous dispersion.

The 12 most intense peaks (10 to 80 degrees two-theta), by intensity:
2θ 31.86, intensity 100
2θ 18.46, intensity 47
2θ 41.74, intensity 32
2θ 54.12, intensity 23
2θ 57.28, intensity 23
2θ 32.32, intensity 23
2θ 30.45, intensity 18
2θ 17.70, intensity 17
2θ 35.84, intensity 16
2θ 57.68, intensity 15
2θ 49.99, intensity 15
2θ 23.93, intensity 14

```
Zn2Bi3O8
1.0
6.7790 0.0000 0.0000
-3.3895 5.8708 0.0000
0.0000 0.0000 9.6136
Zn Bi O
4 6 16
Direct
0.3333 0.6667 0.0000
0.3333 0.6667 0.3616
0.6667 0.3333 0.5000
0.6667 0.3333 0.8616
0.1659 0.3318 0.7018
0.1659 0.8341 0.7018
0.3318 0.1659 0.2018
0.6682 0.8341 0.7018
0.8341 0.1659 0.2018
0.8341 0.6682 0.2018
0.0000 0.0000 0.3138
0.0000 0.0000 0.8138
0.0266 0.5133 0.8406
0.1740 0.3481 0.0980
0.1740 0.8260 0.0980
0.3333 0.6667 0.5719
0.3481 0.1740 0.5980
0.4867 0.5133 0.8406
0.4867 0.9734 0.8406
0.5133 0.0266 0.3406
0.5133 0.4867 0.3406
0.6519 0.8260 0.0980
0.6667 0.3333 0.0719
0.8260 0.1740 0.5980
0.8260 0.6519 0.5980
0.9734 0.4867 0.3406
```

Entry 4:
# SrSbO3
Simulated powder XRD pattern, Cu Kα (λ = 1.5418 Å). Input: the GGA-PBE geometry in the Materials Project.
Neutral-atom scattering factors, no anomalous dispersion.

The 9 most intense peaks (10 to 80 degrees two-theta), by intensity:
2θ 30.03, intensity 100
2θ 53.32, intensity 40
2θ 42.98, intensity 33
2θ 62.41, intensity 20
2θ 70.80, intensity 17
2θ 21.11, intensity 9
2θ 78.77, intensity 7
2θ 48.36, intensity 3
2θ 66.67, intensity 1

```
SrSbO3
1.0
4.2087 0.0000 0.0000
0.0000 4.2087 0.0000
0.0000 0.0000 4.2087
Sr Sb O
1 1 3
Direct
0.0000 0.0000 0.0000
0.5000 0.5000 0.5000
0.0000 0.5000 0.5000
0.5000 0.0000 0.5000
0.5000 0.5000 0.0000
```

Entry 5:
# RbGa3S5
Simulated powder XRD pattern, Cu Kα (λ = 1.5418 Å). Input: the GGA-PBE geometry in the Materials Project.
Neutral-atom scattering factors, no anomalous dispersion.

The 12 most intense peaks (10 to 80 degrees two-theta), by intensity:
2θ 27.15, intensity 100
2θ 27.61, intensity 93
2θ 11.03, intensity 84
2θ 18.65, intensity 55
2θ 27.50, intensity 50
2θ 48.76, intensity 45
2θ 28.10, intensity 32
2θ 48.54, intensity 32
2θ 39.11, intensity 31
2θ 27.04, intensity 28
2θ 21.77, intensity 28
2θ 29.43, intensity 21

```
RbGa3S5
1.0
7.2611 0.0000 0.0000
0.0000 12.9212 0.0000
-2.4432 0.0000 10.2351
Rb Ga S
4 12 20
Direct
0.1658 0.1130 0.4017
0.1658 0.3870 0.9017
0.8342 0.6130 0.0983
0.8342 0.8870 0.5983
0.2024 0.0797 0.9009
0.2024 0.4203 0.4009
0.2893 0.6632 0.6240
0.2893 0.8368 0.1240
0.4400 0.6027 0.3044
0.4400 0.8973 0.8044
0.5600 0.1027 0.1956
0.5600 0.3973 0.6956
0.7107 0.1632 0.8760
0.7107 0.3368 0.3760
0.7976 0.5797 0.5991
0.7976 0.9203 0.0991
0.0647 0.6348 0.7397
0.0647 0.8652 0.2397
0.1901 0.6022 0.4101
0.1901 0.8978 0.9101
0.2812 0.1681 0.0892
0.2812 0.3319 0.5892
0.3452 0.6647 0.0984
0.3452 0.8353 0.5984
0.4293 0.0791 0.7688
0.4293 0.4209 0.2688
0.5707 0.5791 0.7312
0.5707 0.9209 0.2312
0.6548 0.1647 0.4016
0.6548 0.3353 0.9016
0.7188 0.6681 0.4108
0.7188 0.8319 0.9108
0.8099 0.1022 0.0899
0.8099 0.3978 0.5899
0.9353 0.1348 0.7603
0.9353 0.3652 0.2603
```

Entry 6:
# AlN4F12
Simulated powder XRD pattern, Cu Kα (λ = 1.5418 Å). Input: the GGA-PBE geometry in the Materials Project.
Neutral-atom scattering factors, no anomalous dispersion.

The 12 most intense peaks (10 to 80 degrees two-theta), by intensity:
2θ 14.57, intensity 100
2θ 16.84, intensity 37
2θ 23.90, intensity 20
2θ 21.93, intensity 15
2θ 30.31, intensity 14
2θ 28.10, intensity 11
2θ 44.72, intensity 5
2θ 27.78, intensity 5
2θ 40.87, intensity 5
2θ 42.72, intensity 5
2θ 52.11, intensity 4
2θ 34.06, intensity 4

```
AlN4F12
1.0
0.0000 10.5305 10.5305
10.5305 0.0000 10.5305
10.5305 10.5305 0.0000
Al N F
2 8 24
Direct
0.1250 0.1250 0.1250
0.8750 0.8750 0.8750
0.2473 0.7509 0.7509
0.2491 0.2491 0.2491
0.2491 0.2491 0.7527
0.2491 0.7527 0.2491
0.7509 0.2473 0.7509
0.7509 0.7509 0.2473
0.7509 0.7509 0.7509
0.7527 0.2491 0.2491
0.1826 0.1826 0.3300
0.1826 0.1826 0.8048
0.1826 0.3300 0.1826
0.1826 0.3300 0.8048
0.1826 0.8048 0.1826
0.1826 0.8048 0.3300
0.1952 0.6700 0.8174
0.1952 0.8174 0.6700
0.1952 0.8174 0.8174
0.3300 0.1826 0.1826
0.3300 0.1826 0.8048
0.3300 0.8048 0.1826
0.6700 0.1952 0.8174
0.6700 0.8174 0.1952
0.6700 0.8174 0.8174
0.8048 0.1826 0.1826
0.8048 0.1826 0.3300
0.8048 0.3300 0.1826
0.8174 0.1952 0.6700
0.8174 0.1952 0.8174
0.8174 0.6700 0.1952
0.8174 0.6700 0.8174
0.8174 0.8174 0.1952
0.8174 0.8174 0.6700
```

Entry 7:
# Na3MgPCO7
Simulated powder XRD pattern, Cu Kα (λ = 1.5418 Å). Input: the GGA-PBE geometry in the Materials Project.
Neutral-atom scattering factors, no anomalous dispersion.

The 12 most intense peaks (10 to 80 degrees two-theta), by intensity:
2θ 33.50, intensity 100
2θ 26.66, intensity 61
2θ 34.26, intensity 56
2θ 33.26, intensity 35
2θ 48.95, intensity 33
2θ 23.90, intensity 29
2θ 34.48, intensity 28
2θ 54.92, intensity 28
2θ 49.16, intensity 27
2θ 41.99, intensity 15
2θ 60.88, intensity 12
2θ 29.72, intensity 12

```
Na3MgPCO7
1.0
5.2350 0.0000 0.0000
0.0000 6.6878 0.0000
-0.1454 0.0000 8.9075
Na Mg P C O
6 2 2 2 14
Direct
0.2362 0.2500 0.0837
0.2557 0.5055 0.7351
0.2557 0.9945 0.7351
0.7443 0.0055 0.2649
0.7443 0.4945 0.2649
0.7638 0.7500 0.9163
0.2145 0.7500 0.3553
0.7855 0.2500 0.6447
0.2876 0.2500 0.4177
0.7124 0.7500 0.5823
0.2676 0.7500 0.0646
0.7324 0.2500 0.9354
0.0430 0.7500 0.1253
0.1513 0.2500 0.5706
0.2129 0.0631 0.3224
0.2129 0.4369 0.3224
0.2919 0.7500 0.9204
0.4176 0.7500 0.5526
0.4683 0.7500 0.1535
0.5317 0.2500 0.8465
0.5824 0.2500 0.4474
0.7081 0.2500 0.0796
0.7871 0.5631 0.6776
0.7871 0.9369 0.6776
0.8487 0.7500 0.4294
0.9570 0.2500 0.8747
```